Simulated powder XRD pattern of MgCd for Cu Kα, 1.54184 Å, from a structure optimized by DFT (GGA-PBE).
Neutral-atom scattering factors, no anomalous dispersion.

Atomic structure:
```
MgCd
1.0
11.275 0.000 0.000
0.000 3.241 0.000
-1.793 0.000 7.206
Mg Cd
6 6
Direct
0.000 0.000 0.000
0.056 0.000 0.612
0.381 0.000 0.273
0.500 0.500 0.000
0.556 0.500 0.612
0.881 0.500 0.273
0.159 0.500 0.333
0.221 0.500 0.945
0.335 0.000 0.663
0.659 0.000 0.333
0.721 0.000 0.945
0.835 0.500 0.663
```

The 10 most intense peaks (15 to 90 degrees two-theta), in order of rising 2θ:
| 2θ/deg | Rel. int. |
| --- | --- |
| 16.20 | 73 |
| 22.66 | 38 |
| 26.12 | 32 |
| 32.14 | 53 |
| 36.12 | 65 |
| 36.88 | 94 |
| 37.10 | 100 |
| 37.44 | 46 |
| 37.90 | 44 |
| 58.27 | 31 |

Simulated powder XRD pattern of ErTa3 for Cu Kα, 1.54184 Å, from a structure optimized by DFT (GGA-PBE).
Neutral-atom scattering factors, no anomalous dispersion.

Atomic structure:
```
ErTa3
1.0
6.859 0.000 0.000
0.000 6.859 0.000
0.000 0.000 6.859
Er Ta
4 12
Direct
0.000 0.000 0.000
0.000 0.500 0.500
0.500 0.000 0.500
0.500 0.500 0.000
0.000 0.000 0.500
0.000 0.500 0.000
0.250 0.250 0.250
0.250 0.250 0.750
0.250 0.750 0.250
0.250 0.750 0.750
0.500 0.000 0.000
0.500 0.500 0.500
0.750 0.250 0.250
0.750 0.250 0.750
0.750 0.750 0.250
0.750 0.750 0.750
```

The 4 most intense peaks (15 to 90 degrees two-theta), in order of rising 2θ:
| 2θ/deg | Rel. int. |
| --- | --- |
| 37.07 | 100 |
| 53.43 | 18 |
| 66.82 | 36 |
| 78.96 | 11 |

Simulated powder XRD pattern of Na2AlAgCl6 for Cu Kα, 1.54184 Å, from a structure optimized by DFT (GGA-PBE).
Neutral-atom scattering factors, no anomalous dispersion.

Atomic structure:
```
Na2AlAgCl6
1.0
0.000 5.023 5.023
5.023 0.000 5.023
5.023 5.023 0.000
Na Al Ag Cl
2 1 1 6
Direct
0.250 0.250 0.250
0.750 0.750 0.750
0.000 0.000 0.000
0.500 0.500 0.500
0.233 0.233 0.767
0.233 0.767 0.233
0.233 0.767 0.767
0.767 0.233 0.233
0.767 0.233 0.767
0.767 0.767 0.233
```

The 10 most intense peaks (15 to 90 degrees two-theta), in order of rising 2θ:
| 2θ/deg | Rel. int. |
| --- | --- |
| 15.28 | 21 |
| 17.66 | 100 |
| 25.07 | 41 |
| 29.49 | 34 |
| 35.75 | 90 |
| 39.09 | 27 |
| 40.15 | 40 |
| 51.46 | 55 |
| 54.84 | 19 |
| 86.70 | 21 |

Simulated powder XRD pattern of Ti2ZnO4 for Cu Kα, 1.54184 Å, from a structure optimized by DFT (GGA-PBE).
Neutral-atom scattering factors, no anomalous dispersion.

Atomic structure:
```
Ti2ZnO4
1.0
-2.986 3.074 4.194
2.986 -3.074 4.194
2.986 3.074 -4.194
Ti Zn O
4 2 8
Direct
0.000 0.000 0.000
0.500 0.000 0.000
0.500 0.000 0.500
0.500 0.500 0.500
0.000 0.000 0.500
0.000 0.500 0.000
0.247 0.243 0.004
0.254 0.225 0.471
0.254 0.783 0.029
0.261 0.757 0.504
0.739 0.243 0.496
0.746 0.217 0.971
0.746 0.775 0.529
0.753 0.757 0.996
```

The 10 most intense peaks (15 to 90 degrees two-theta), in order of rising 2θ:
| 2θ/deg | Rel. int. |
| --- | --- |
| 18.23 | 58 |
| 21.19 | 31 |
| 29.04 | 14 |
| 36.23 | 30 |
| 36.95 | 30 |
| 42.19 | 100 |
| 43.14 | 47 |
| 47.67 | 15 |
| 60.20 | 15 |
| 61.93 | 54 |